(1)
The following is a calculated powder diffractogram of Li2Ti2V3O10. It was derived from DFT lattice parameters and positions (PBE+U), using Cu Kα X-rays.

Atomic structure:
Lattice parameters (Å, degrees): 5.216 8.412 9.870 111.22 102.43 94.62
Space group P-1 (No. 2)
Inequivalent atoms, fractional coordinates:
Li  0.001  0.168  0.273 [2 per cell]
Li  0.489  0.676  0.782 [2 per cell]
Ti  0.036  0.584  0.402 [2 per cell]
Ti  0.473  0.910  0.096 [2 per cell]
V  0.000  0.000  0.500 [1 per cell]
V  0.013  0.218  0.820 [2 per cell]
V  0.484  0.286  0.672 [2 per cell]
V  0.500  0.500  0.000 [1 per cell]
O  0.156  0.623  0.610 [2 per cell]
O  0.195  0.983  0.175 [2 per cell]
O  0.207  0.818  0.394 [2 per cell]
O  0.218  0.221  0.502 [2 per cell]
O  0.237  0.426  0.783 [2 per cell]
O  0.267  0.076  0.704 [2 per cell]
O  0.304  0.672  0.121 [2 per cell]
O  0.314  0.281  0.998 [2 per cell]
O  0.317  0.509  0.327 [2 per cell]
O  0.331  0.886  0.890 [2 per cell]

Principal peaks in the range 15 to 90 degrees two-theta, in order of falling intensity:
Position (°2θ)  d [Å]  I_rel  (hkl)
17.9  4.953  100  0 1 1
37.8  2.380  46  1 3 -2
44.3  2.045  30  -2 2 2
45.6  1.991  27  1 -1 4
27.8  3.212  21  0 1 -3
26.8  3.322  19  1 -2 1
22.5  3.945  17  1 0 1
59.5  1.554  13  1 -5 0
30.0  2.982  13  -1 2 1
35.7  2.514  10  -2 1 1

---

(2)
The following is a calculated powder diffractogram of LiTiVO4. It was derived from DFT lattice parameters and positions (PBE+U), using Cu Kα X-rays.

Atomic structure:
Lattice parameters (Å, degrees): 5.923 6.004 8.455 90.00 90.00 90.00
Space group Imma (No. 74)
Inequivalent atoms, fractional coordinates:
Li  0.250  0.250  0.250 [4 per cell]
Ti  0.250  0.250  0.750 [4 per cell]
V  0.000  0.000  0.000 [4 per cell]
O  0.000  0.025  0.755 [8 per cell]
O  0.224  0.250  0.984 [8 per cell]

Principal peaks in the range 15 to 90 degrees two-theta, in order of falling intensity:
Position (°2θ)  d [Å]  I_rel  (hkl)
18.3  4.851  100  1 0 1
18.1  4.895  82  0 1 1
42.9  2.108  80  2 2 0
62.2  1.493  42  2 2 4
42.8  2.114  41  0 0 4
35.2  2.552  31  1 2 1
35.4  2.534  17  2 1 1
56.6  1.627  17  0 1 5
35.3  2.545  15  1 0 3
56.9  1.619  11  3 2 1

---

(3)
The following is a calculated powder diffractogram of Li3Ti3VO8. It was derived from DFT lattice parameters and positions (PBE+U), using Cu Kα X-rays.

Atomic structure:
Lattice parameters (Å, degrees): 10.275 5.930 6.019 90.00 124.60 90.00
Space group C2/m (No. 12)
Inequivalent atoms, fractional coordinates:
Li  0.000  0.000  0.000 [2 per cell]
Li  0.250  0.250  0.000 [4 per cell]
Ti  0.000  0.500  0.500 [2 per cell]
Ti  0.250  0.250  0.500 [4 per cell]
V  0.000  0.000  0.500 [2 per cell]
O  0.011  0.251  0.280 [8 per cell]
O  0.241  0.000  0.720 [4 per cell]
O  0.245  0.500  0.735 [4 per cell]

Principal peaks in the range 15 to 90 degrees two-theta, in order of falling intensity:
Position (°2θ)  d [Å]  I_rel  (hkl)
17.9  4.954  100  0 0 1
42.8  2.113  77  4 0 0
35.5  2.531  36  4 0 -1
62.7  1.483  21  0 4 0
61.6  1.505  20  2 2 2
56.2  1.636  14  4 0 1
65.7  1.420  13  6 2 -3
46.7  1.943  11  2 2 1
78.9  1.214  9  4 4 0
37.0  2.427  6  2 2 0

---

(4)
The following is a calculated powder diffractogram of Li2TiVO4. It was derived from DFT lattice parameters and positions (PBE+U), using Cu Kα X-rays.

Atomic structure:
Lattice parameters (Å, degrees): 5.192 7.813 7.814 72.49 75.94 88.12
Space group P1 (No. 1)
Inequivalent atoms, fractional coordinates:
Li  0.000  0.000  0.000 [1 per cell]
Li  0.063  0.124  0.312 [1 per cell]
Li  0.246  0.495  0.252 [1 per cell]
Li  0.312  0.624  0.563 [1 per cell]
Li  0.495  0.997  0.502 [1 per cell]
Li  0.561  0.124  0.816 [1 per cell]
Li  0.744  0.497  0.750 [1 per cell]
Li  0.809  0.621  0.065 [1 per cell]
Ti  0.129  0.254  0.627 [1 per cell]
Ti  0.372  0.745  0.880 [1 per cell]
Ti  0.624  0.248  0.127 [1 per cell]
Ti  0.869  0.746  0.373 [1 per cell]
V  0.181  0.376  0.937 [1 per cell]
V  0.435  0.872  0.190 [1 per cell]
V  0.685  0.369  0.439 [1 per cell]
V  0.935  0.874  0.687 [1 per cell]
O  0.078  0.640  0.814 [1 per cell]
O  0.124  0.748  0.127 [1 per cell]
O  0.158  0.863  0.441 [1 per cell]
O  0.241  0.997  0.751 [1 per cell]
O  0.336  0.134  0.069 [1 per cell]
O  0.375  0.249  0.378 [1 per cell]
O  0.418  0.365  0.686 [1 per cell]
O  0.494  0.497  0.002 [1 per cell]
O  0.581  0.630  0.320 [1 per cell]
O  0.627  0.750  0.627 [1 per cell]
O  0.670  0.864  0.928 [1 per cell]
O  0.745  0.997  0.250 [1 per cell]
O  0.838  0.125  0.573 [1 per cell]
O  0.875  0.250  0.876 [1 per cell]
O  0.915  0.365  0.185 [1 per cell]
O  0.997  0.495  0.501 [1 per cell]

Principal peaks in the range 15 to 90 degrees two-theta, in order of falling intensity:
Position (°2θ)  d [Å]  I_rel  (hkl)
23.9  3.723  100  1 -1 1
43.8  2.066  62  -1 1 3
62.4  1.488  35  3 1 -1
42.1  2.145  34  2 2 2
50.5  1.806  22  0 0 4
38.3  2.352  19  1 2 3
63.7  1.461  17  0 2 -4
79.4  1.207  15  4 -2 0
37.2  2.415  13  2 -1 0
58.2  1.585  9  3 1 3

---

(5)
The following is a calculated powder diffractogram of Li2TiVO4. It was derived from DFT lattice parameters and positions (PBE+U), using Cu Kα X-rays.

Atomic structure:
Lattice parameters (Å, degrees): 5.847 5.847 17.140 90.00 90.00 90.00
Space group I-42m (No. 121)
Inequivalent atoms, fractional coordinates:
Li  0.000  0.000  0.249 [4 per cell]
Li  0.000  0.500  0.000 [4 per cell]
Li  0.249  0.249  0.875 [8 per cell]
Ti  0.248  0.248  0.628 [8 per cell]
V  0.000  0.000  0.000 [2 per cell]
V  0.000  0.000  0.500 [2 per cell]
V  0.000  0.500  0.250 [4 per cell]
O  0.000  0.000  0.123 [4 per cell]
O  0.000  0.000  0.376 [4 per cell]
O  0.000  0.500  0.126 [8 per cell]
O  0.244  0.244  0.009 [8 per cell]
O  0.249  0.249  0.243 [8 per cell]

Principal peaks in the range 15 to 90 degrees two-theta, in order of falling intensity:
Position (°2θ)  d [Å]  I_rel  (hkl)
23.9  3.724  100  1 1 2
43.8  2.067  63  2 2 0
62.4  1.488  35  2 2 8
42.2  2.143  34  0 0 8
50.5  1.807  22  3 1 2
38.3  2.350  19  1 1 6
63.7  1.462  17  4 0 0
79.4  1.207  15  4 0 8
37.2  2.415  13  2 0 4
59.6  1.552  9  3 1 6

---

(6)
The following is a calculated powder diffractogram of Li4TiV5O12. It was derived from DFT lattice parameters and positions (PBE+U), using Cu Kα X-rays.

Atomic structure:
Lattice parameters (Å, degrees): 5.209 8.884 10.248 90.00 91.18 90.00
Space group C2/m (No. 12)
Inequivalent atoms, fractional coordinates:
Li  0.107  0.247  0.250 [8 per cell]
Ti  0.000  0.000  0.500 [2 per cell]
V  0.000  0.157  0.000 [4 per cell]
V  0.000  0.338  0.500 [4 per cell]
V  0.000  0.500  0.000 [2 per cell]
O  0.157  0.168  0.607 [8 per cell]
O  0.164  0.327  0.894 [8 per cell]
O  0.168  0.000  0.896 [4 per cell]
O  0.181  0.500  0.601 [4 per cell]

Principal peaks in the range 15 to 90 degrees two-theta, in order of falling intensity:
Position (°2θ)  d [Å]  I_rel  (hkl)
17.3  5.123  100  0 0 2
43.8  2.066  16  1 3 -3
44.3  2.046  16  1 3 3
35.9  2.503  13  1 3 -1
36.1  2.491  13  1 3 1
57.2  1.611  9  1 3 -5
57.8  1.595  9  1 3 5
62.5  1.486  8  3 3 -1
62.9  1.478  8  3 3 1
38.5  2.341  8  2 0 -2

---

(7)
The following is a calculated powder diffractogram of Li2TiV5O12. It was derived from DFT lattice parameters and positions (PBE+U), using Cu Kα X-rays.

Atomic structure:
Lattice parameters (Å, degrees): 11.021 8.282 5.695 90.00 113.51 90.00
Space group C2 (No. 5)
Inequivalent atoms, fractional coordinates:
Li  0.000  0.000  0.000 [2 per cell]
Li  0.000  0.388  0.500 [2 per cell]
Ti  0.000  0.614  0.000 [2 per cell]
V  0.000  0.768  0.500 [2 per cell]
V  0.229  0.096  0.566 [4 per cell]
V  0.234  0.291  0.071 [4 per cell]
O  0.076  0.800  0.872 [4 per cell]
O  0.089  0.588  0.397 [4 per cell]
O  0.151  0.236  0.699 [4 per cell]
O  0.153  0.502  0.038 [4 per cell]
O  0.155  0.137  0.215 [4 per cell]
O  0.159  0.888  0.547 [4 per cell]

Principal peaks in the range 15 to 90 degrees two-theta, in order of falling intensity:
Position (°2θ)  d [Å]  I_rel  (hkl)
28.8  3.102  100  2 2 -1
19.0  4.667  47  1 1 -1
28.6  3.121  43  3 1 0
40.5  2.229  39  1 1 2
53.2  1.723  32  5 3 -1
21.5  4.141  26  0 2 0
34.3  2.611  24  0 0 2
17.6  5.053  24  2 0 0
60.4  1.533  18  1 3 -3
48.0  1.894  17  2 4 -1